The following is a theoretical powder X-ray diffraction pattern of RbCe4Au3Se12. It was derived from the GGA-PBE geometry in Alexandria, using Cu Kα X-rays.

Most intense lines, 2θ from 10° to 90°, low angle first:
Position (°2θ), d (Å), I/Imax
23.91, 3.722, 96
26.78, 3.329, 32
34.06, 2.632, 35
42.05, 2.149, 100
55.18, 1.665, 30
76.83, 1.241, 36

```
RbCe4Au3Se12
1.0
-5.264 5.264 5.264
5.264 -5.264 5.264
5.264 5.264 -5.264
Rb Ce Au Se
1 4 3 12
Cartesian
0.000 0.000 0.000 Rb
2.632 2.632 -2.632 Ce
2.632 -2.632 2.632 Ce
-2.632 2.632 2.632 Ce
2.632 2.632 2.632 Ce
5.264 0.000 0.000 Au
0.000 5.264 0.000 Au
0.000 0.000 5.264 Au
5.264 -1.893 3.545 Se
3.371 1.719 0.000 Se
7.157 1.719 0.000 Se
3.545 5.264 -1.893 Se
1.719 0.000 3.371 Se
0.000 3.371 1.719 Se
5.264 1.893 3.545 Se
3.545 5.264 1.893 Se
1.719 0.000 7.157 Se
-1.893 3.545 5.264 Se
1.893 3.545 5.264 Se
0.000 7.157 1.719 Se
```